Rb3Cu2AgCl6: computed powder X-ray diffraction pattern (CuKα), based on a structure optimized by DFT (PBE).
Lines closer than 0.1° are merged.

Cell and atoms:
Cell lengths 7.5175, 7.5175, 8.5096 Å; angles 90.00, 90.00, 120.00 degrees
Sites, in units of the cell vectors:
Rb1 0.0000 0.0000 0.0000
Rb2 0.3333 0.6667 0.6650
Rb3 0.6667 0.3333 0.3350
Cu1 0.3333 0.6667 0.2715
Cu2 0.6667 0.3333 0.7285
Ag1 0.0000 0.0000 0.5000
Cl1 0.1635 0.3270 0.2889
Cl2 0.1635 0.8365 0.2889
Cl3 0.3270 0.1635 0.7111
Cl4 0.6730 0.8365 0.2889
Cl5 0.8365 0.1635 0.7111
Cl6 0.8365 0.6730 0.7111

The 8 most intense peaks (10° ≤ 2θ ≤ 90°), in order of rising 2θ:
d 8.510, 2θ = 10.40°, I = 41
d 3.759, 2θ = 23.67°, I = 100
d 3.562, 2θ = 25.00°, I = 72
d 3.040, 2θ = 29.38°, I = 25
d 2.585, 2θ = 34.70°, I = 76
d 2.170, 2θ = 41.62°, I = 23
d 2.130, 2θ = 42.44°, I = 42
d 1.879, 2θ = 48.44°, I = 37

RbCu4Ag3Cl12: computed powder X-ray diffraction pattern (CuKα), based on a structure optimized by DFT (PBE).
Lines closer than 0.1° are merged.

Cell and atoms:
Cell lengths 8.5888, 8.5888, 8.5888 Å; angles 104.95, 104.95, 104.95 degrees
Sites, in units of the cell vectors:
Rb1 0.0000 0.0000 0.0000
Cu1 0.0772 0.5000 0.9228
Cu2 0.5000 0.5000 0.5000
Cu3 0.5000 0.9228 0.0772
Cu4 0.9228 0.0772 0.5000
Ag1 0.0000 0.5691 0.4309
Ag2 0.4309 0.0000 0.5691
Ag3 0.5691 0.4309 0.0000
Cl1 0.0055 0.6335 0.7513
Cl2 0.0857 0.9143 0.5000
Cl3 0.2487 0.3665 0.9945
Cl4 0.3385 0.6615 0.5000
Cl5 0.3665 0.9945 0.2487
Cl6 0.5000 0.0857 0.9143
Cl7 0.5000 0.3385 0.6615
Cl8 0.6335 0.7513 0.0054
Cl9 0.6615 0.5000 0.3385
Cl10 0.7513 0.0054 0.6335
Cl11 0.9143 0.5000 0.0857
Cl12 0.9946 0.2487 0.3665

The 8 most intense peaks (10° ≤ 2θ ≤ 90°), in order of rising 2θ:
d 4.095, 2θ = 21.70°, I = 45
d 3.890, 2θ = 22.86°, I = 100
d 3.077, 2θ = 29.01°, I = 18
d 2.766, 2θ = 32.37°, I = 32
d 2.369, 2θ = 37.98°, I = 21
d 2.147, 2θ = 42.09°, I = 20
d 1.889, 2θ = 48.17°, I = 28
d 1.603, 2θ = 57.51°, I = 18

Rb4CuAg3Cl12: computed powder X-ray diffraction pattern (CuKα), based on a structure optimized by DFT (PBE).
Lines closer than 0.1° are merged.

Cell and atoms:
Cell lengths 8.8318, 8.8318, 8.8318 Å; angles 109.47, 109.47, 109.47 degrees
Sites, in units of the cell vectors:
Rb1 0.0000 0.0000 0.5000
Rb2 0.0000 0.5000 0.0000
Rb3 0.5000 0.0000 0.0000
Rb4 0.5000 0.5000 0.5000
Cu1 0.0000 0.0000 0.0000
Ag1 0.0000 0.5000 0.5000
Ag2 0.5000 0.0000 0.5000
Ag3 0.5000 0.5000 0.0000
Cl1 0.0000 0.2369 0.2369
Cl2 0.0000 0.7631 0.7631
Cl3 0.2369 0.0000 0.2369
Cl4 0.2369 0.2369 0.0000
Cl5 0.2500 0.5000 0.7500
Cl6 0.2500 0.7500 0.5000
Cl7 0.5000 0.2500 0.7500
Cl8 0.5000 0.7500 0.2500
Cl9 0.7500 0.2500 0.5000
Cl10 0.7500 0.5000 0.2500
Cl11 0.7631 0.0000 0.7631
Cl12 0.7631 0.7631 0.0000

The 8 most intense peaks (10° ≤ 2θ ≤ 90°), in order of rising 2θ:
d 3.606, 2θ = 24.69°, I = 100
d 2.550, 2θ = 35.20°, I = 74
d 2.082, 2θ = 43.47°, I = 44
d 1.803, 2θ = 50.63°, I = 48
d 1.612, 2θ = 57.12°, I = 20
d 1.472, 2θ = 63.17°, I = 16
d 1.363, 2θ = 68.90°, I = 22
d 1.140, 2θ = 85.09°, I = 21